La3ErAs4: simulated powder XRD pattern (CuKα), based on a PBE-relaxed structure.
Lines closer than 0.1° are merged.

Most intense lines, 2θ = 5–70°, by angle:
25.33 deg, intensity 17; 29.33 deg, intensity 100; 41.96 deg, intensity 75; 49.65 deg, intensity 9; 52.02 deg, intensity 27; 60.84 deg, intensity 12; 66.95 deg, intensity 2; 67.03 deg, intensity 1; 68.95 deg, intensity 28; 69.01 deg, intensity 6

Crystal structure
Cell: 7.453 8.621 7.458 Å, 90.00 109.51 90.00°
Element x y z (fractional)
La 0.000 0.124 0.250
La 0.000 0.373 0.750
La 0.000 0.627 0.250
La 0.000 0.876 0.750
La 0.500 0.373 0.250
La 0.500 0.627 0.750
Er 0.500 0.123 0.750
Er 0.500 0.877 0.250
As 0.255 0.369 0.506
As 0.255 0.631 0.006
As 0.261 0.119 0.999
As 0.261 0.881 0.499
As 0.739 0.119 0.501
As 0.739 0.881 0.001
As 0.745 0.369 0.994
As 0.745 0.631 0.494